Record 1
Starting from a GGA-PBE-relaxed structure, the powder diffraction line list of GdPaZnTc was calculated for Cu Kα (weighted mean of Kα1 and Kα2).
Kinematic intensities with the Lorentz-polarization factor, no thermal factor.

Most intense lines, 2θ = 10–90°, sorted by position:
- 2θ 22.02, I = 4
- 2θ 25.48, I = 17
- 2θ 36.34, I = 100
- 2θ 44.91, I = 5
- 2θ 52.34, I = 18
- 2θ 59.09, I = 8
- 2θ 65.39, I = 36
- 2θ 77.17, I = 11
- 2θ 82.83, I = 4
- 2θ 88.42, I = 16

Structural model:
```
GdPaZnTc
1.0
0.0000 3.4961 3.4961
3.4961 0.0000 3.4961
3.4961 3.4961 0.0000
Gd Pa Zn Tc
1 1 1 1
Direct
0.0000 0.0000 0.0000
0.5000 0.5000 0.5000
0.2500 0.2500 0.2500
0.7500 0.7500 0.7500
```

Record 2
Starting from a GGA-PBE-relaxed structure, the powder diffraction line list of Pr12Nd7Sc was calculated for Cu Kα (weighted mean of Kα1 and Kα2).
Kinematic intensities with the Lorentz-polarization factor, no thermal factor.

Most intense lines, 2θ = 10–90°, sorted by position:
- 2θ 26.76, I = 100
- 2θ 28.01, I = 35
- 2θ 29.45, I = 81
- 2θ 31.37, I = 35
- 2θ 32.35, I = 50
- 2θ 32.45, I = 66
- 2θ 35.04, I = 26
- 2θ 40.29, I = 54
- 2θ 56.32, I = 28
- 2θ 57.97, I = 32

Structural model:
```
Pr12Nd7Sc
1.0
9.5568 5.5176 2.3122
-9.5568 5.5176 2.3122
0.0000 -11.0353 2.3122
Pr Nd Sc
12 7 1
Direct
0.0119 0.7973 0.5863
0.2027 0.4137 0.9881
0.2267 0.7507 0.2985
0.2493 0.7015 0.7733
0.2985 0.2267 0.7507
0.4137 0.9881 0.2027
0.5863 0.0119 0.7973
0.7015 0.7733 0.2493
0.7507 0.2985 0.2267
0.7733 0.2493 0.7015
0.7973 0.5863 0.0119
0.9881 0.2027 0.4137
0.0000 0.0000 0.0000
0.1382 0.4361 0.2970
0.2970 0.1382 0.4361
0.4361 0.2970 0.1382
0.5639 0.7030 0.8618
0.7030 0.8618 0.5639
0.8618 0.5639 0.7030
0.5000 0.5000 0.5000
```

Record 3
Starting from a GGA-PBE-relaxed structure, the powder diffraction line list of AgSb2Cl was calculated for Cu Kα (weighted mean of Kα1 and Kα2).
Kinematic intensities with the Lorentz-polarization factor, no thermal factor.

Most intense lines, 2θ = 10–90°, sorted by position:
- 2θ 31.03, I = 34
- 2θ 34.05, I = 100
- 2θ 40.75, I = 13
- 2θ 45.60, I = 11
- 2θ 52.09, I = 13
- 2θ 56.18, I = 12
- 2θ 57.16, I = 23
- 2θ 69.90, I = 9
- 2θ 71.69, I = 9
- 2θ 76.82, I = 9

Structural model:
```
AgSb2Cl
1.0
1.9895 -2.8818 0.0000
1.9895 2.8818 0.0000
0.0000 0.0000 8.8566
Ag Sb Cl
1 2 1
Direct
0.0000 0.0000 0.0000
0.0000 0.0000 0.5007
0.5000 0.5000 0.7536
0.5000 0.5000 0.1852
```

Record 4
Starting from a GGA-PBE-relaxed structure, the powder diffraction line list of GdHCO4 was calculated for Cu Kα (weighted mean of Kα1 and Kα2).
Kinematic intensities with the Lorentz-polarization factor, no thermal factor.

Most intense lines, 2θ = 10–90°, sorted by position:
- 2θ 16.03, I = 47
- 2θ 20.42, I = 29
- 2θ 20.78, I = 100
- 2θ 23.94, I = 31
- 2θ 24.25, I = 49
- 2θ 26.94, I = 51
- 2θ 30.92, I = 61
- 2θ 38.17, I = 45
- 2θ 44.22, I = 35
- 2θ 46.04, I = 39

Structural model:
```
GdHCO4
1.0
4.9088 0.0000 0.0000
0.0000 7.1585 0.0000
0.0000 0.0000 8.6996
Gd H C O
4 4 4 16
Direct
0.0189 0.1176 0.3346
0.4811 0.8824 0.8346
0.5189 0.3824 0.6654
0.9811 0.6176 0.1654
0.1261 0.2567 0.0354
0.3739 0.7433 0.5354
0.6261 0.2433 0.9646
0.8739 0.7567 0.4646
0.0066 0.0493 0.6691
0.4934 0.9507 0.1691
0.5066 0.4507 0.3309
0.9934 0.5493 0.8309
0.0011 0.7981 0.3845
0.0252 0.4487 0.7096
0.1994 0.6116 0.9087
0.2484 0.9185 0.1188
0.2516 0.0815 0.6188
0.3006 0.3884 0.4087
0.4748 0.5513 0.2096
0.4989 0.2019 0.8845
0.5011 0.7019 0.6155
0.5252 0.0513 0.2904
0.6994 0.8884 0.0913
0.7484 0.5815 0.8812
0.7516 0.4185 0.3812
0.8006 0.1116 0.5913
0.9748 0.9487 0.7904
0.9989 0.2981 0.1155
```

Record 5
Starting from a GGA-PBE-relaxed structure, the powder diffraction line list of TlIn5Sn2 was calculated for Cu Kα (weighted mean of Kα1 and Kα2).
Kinematic intensities with the Lorentz-polarization factor, no thermal factor.

Most intense lines, 2θ = 10–90°, sorted by position:
- 2θ 26.99, I = 20
- 2θ 27.84, I = 66
- 2θ 29.04, I = 24
- 2θ 31.65, I = 100
- 2θ 33.82, I = 37
- 2θ 37.94, I = 27
- 2θ 38.38, I = 37
- 2θ 38.71, I = 35
- 2θ 55.65, I = 24
- 2θ 67.73, I = 20

Structural model:
```
TlIn5Sn2
1.0
-2.3452 4.8186 5.3129
2.3452 -4.8186 5.3129
2.3452 4.8186 -5.3129
Tl In Sn
1 5 2
Direct
0.0000 0.0000 0.0000
0.1663 0.3506 0.8158
0.4652 0.6494 0.8158
0.5000 0.0000 0.5000
0.5348 0.3506 0.1842
0.8337 0.6494 0.1842
0.2122 0.7122 0.5000
0.7878 0.2878 0.5000
```